Starting from a structure optimized by DFT (GGA-PBE), the powder X-ray diffraction pattern of Ni2As3Pd4 was simulated for Cu Kα (weighted mean of Kα1 and Kα2).
Kinematic intensities with the Lorentz-polarization factor, no thermal factor.

The 10 most intense peaks (5 to 70 degrees two-theta), sorted by position:
d (Å), I_rel, index
2.479, 32, 1 0 2
2.422, 100, 1 3 1
2.251, 86, 1 2 2
2.195, 26, 1 4 0
2.137, 23, 0 1 3
2.044, 15, 0 5 1
1.900, 39, 2 0 0
1.863, 33, 0 3 3
1.420, 15, 2 1 3
1.392, 17, 1 7 1

Atomic structure:
Lattice parameters (Å, degrees): 3.7993 10.7570 6.5416 90.00 90.00 90.00
Space group Amm2 (No. 38)
Inequivalent atoms, fractional coordinates:
1 Ni 0.0000 0.1264 0.0000 x4
2 As 0.0000 0.1715 0.3583 x4
3 As 0.5000 0.0000 0.8881 x2
4 Pd 0.0000 0.0000 0.6187 x2
5 Pd 0.5000 0.0000 0.2726 x2
6 Pd 0.5000 0.2059 0.6704 x4